# 1
Computed X-ray powder pattern of DyFe6Ge6 for Cu Kα, from a structure optimized by DFT (PBE).
No peak broadening, texture or thermal motion is included.

Peak list (12 most intense, 5° ≤ 2θ ≤ 70°, by intensity)
two_theta	I_rel
41.72	100
35.13	71
40.79	51
46.71	40
44.41	25
67.53	23
49.19	21
37.81	15
63.02	13
40.57	12
45.66	10
33.33	10

```
DyFe6Ge6
1.0
4.0797 -8.8437 0.0000
4.0797 8.8437 0.0000
0.0000 0.0000 5.1126
Dy Fe Ge
2 12 12
Direct
0.1269 0.8731 0.7500
0.8731 0.1269 0.2500
0.0000 0.5000 0.0000
0.0000 0.5000 0.5000
0.1252 0.3753 0.7500
0.2495 0.2495 0.0000
0.2495 0.2495 0.5000
0.3753 0.1252 0.2500
0.5000 0.0000 0.0000
0.5000 0.0000 0.5000
0.6247 0.8748 0.7500
0.7505 0.7505 0.0000
0.7505 0.7505 0.5000
0.8748 0.6247 0.2500
0.0421 0.9579 0.2500
0.2112 0.7888 0.2500
0.2221 0.4709 0.2500
0.2949 0.7051 0.7500
0.4590 0.5410 0.7500
0.4709 0.2221 0.7500
0.5291 0.7779 0.2500
0.5410 0.4590 0.2500
0.7051 0.2949 0.2500
0.7779 0.5291 0.7500
0.7888 0.2112 0.7500
0.9579 0.0421 0.7500
```

=====

# 2
Computed X-ray powder pattern of Dy2Ho2InFe2Ge4 for Cu Kα, from a structure optimized by DFT (PBE).
No peak broadening, texture or thermal motion is included.

Peak list (12 most intense, 5° ≤ 2θ ≤ 70°, by intensity)
two_theta	I_rel
34.89	100
33.27	61
36.25	57
42.88	38
40.64	26
37.13	24
27.84	21
38.45	16
32.58	16
42.72	15
60.51	14
56.41	13

```
Dy2Ho2InFe2Ge4
1.0
7.7428 -2.1090 0.0000
7.7428 2.1090 0.0000
-2.0710 0.0000 6.6657
Dy Ho In Fe Ge
2 2 1 2 4
Direct
0.0910 0.0910 0.3886
0.9090 0.9090 0.6114
0.1536 0.1536 0.9402
0.8464 0.8464 0.0598
0.5000 0.5000 0.0000
0.2796 0.2796 0.3697
0.7204 0.7204 0.6303
0.2916 0.2916 0.7248
0.4311 0.4311 0.3408
0.5689 0.5689 0.6592
0.7084 0.7084 0.2752
```

=====

# 3
Computed X-ray powder pattern of DyHo2FeSn3Ir2 for Cu Kα, from a structure optimized by DFT (PBE).
No peak broadening, texture or thermal motion is included.

Peak list (12 most intense, 5° ≤ 2θ ≤ 70°, by intensity)
two_theta	I_rel
33.64	100
36.38	72
36.10	48
41.14	39
66.82	27
62.15	20
48.76	20
65.65	20
43.72	20
13.45	14
49.96	13
56.07	12

```
DyHo2FeSn3Ir2
1.0
3.7349 0.0000 0.0000
0.0000 6.5858 3.7983
0.0000 -6.5858 3.7983
Dy Ho Fe Sn Ir
1 2 1 3 2
Direct
0.0000 0.0000 0.0000
0.0000 0.4076 0.8152
0.0000 0.8152 0.4076
0.0000 0.4080 0.4080
0.5000 0.1501 0.4079
0.5000 0.4079 0.1501
0.5000 0.6651 0.6651
0.5000 0.0746 0.7402
0.5000 0.7402 0.0746
```

=====

# 4
Computed X-ray powder pattern of Dy2HoFe7Ni2 for Cu Kα, from a structure optimized by DFT (PBE).
No peak broadening, texture or thermal motion is included.

Peak list (12 most intense, 5° ≤ 2θ ≤ 70°, by intensity)
two_theta	I_rel
42.46	100
36.08	56
32.83	52
42.08	36
35.81	35
69.26	22
62.84	16
20.92	12
64.71	12
44.07	12
45.61	12
68.84	12

```
Dy2HoFe7Ni2
1.0
2.4891 1.4371 8.2190
-2.4891 1.4371 8.2190
0.0000 -2.8742 8.2190
Dy Ho Fe Ni
2 1 7 2
Direct
0.1416 0.1416 0.1416
0.8584 0.8584 0.8584
0.0000 0.0000 0.0000
0.0828 0.5816 0.5816
0.4184 0.4184 0.9172
0.4184 0.9172 0.4184
0.5000 0.5000 0.5000
0.5816 0.0828 0.5816
0.5816 0.5816 0.0828
0.9172 0.4184 0.4184
0.3325 0.3325 0.3325
0.6675 0.6675 0.6675
```

=====

# 5
Computed X-ray powder pattern of Dy2HoFe8Ni for Cu Kα, from a structure optimized by DFT (PBE).
No peak broadening, texture or thermal motion is included.

Peak list (12 most intense, 5° ≤ 2θ ≤ 70°, by intensity)
two_theta	I_rel
42.27	100
35.73	52
32.92	47
35.96	35
41.67	34
68.71	29
62.42	15
69.04	13
64.34	12
20.73	12
44.56	11
45.92	10

```
Dy2HoFe8Ni
1.0
2.5128 1.4507 8.1335
-2.5128 1.4507 8.1335
0.0000 -2.9015 8.1335
Dy Ho Fe Ni
2 1 8 1
Direct
0.1417 0.1417 0.1417
0.8583 0.8583 0.8583
0.0000 0.0000 0.0000
0.0798 0.5817 0.5817
0.3331 0.3331 0.3331
0.4183 0.4183 0.9202
0.4183 0.9202 0.4183
0.5817 0.0798 0.5817
0.5817 0.5817 0.0798
0.6669 0.6669 0.6669
0.9202 0.4183 0.4183
0.5000 0.5000 0.5000
```

=====

# 6
Computed X-ray powder pattern of DyHo2Fe3Ni6 for Cu Kα, from a structure optimized by DFT (PBE).
No peak broadening, texture or thermal motion is included.

Peak list (12 most intense, 5° ≤ 2θ ≤ 70°, by intensity)
two_theta	I_rel
42.66	100
35.95	58
33.32	57
41.93	47
36.42	46
69.24	22
62.96	19
64.93	17
46.01	16
46.59	14
20.86	14
69.76	14

```
DyHo2Fe3Ni6
1.0
2.4983 1.4424 8.0067
-2.4983 1.4424 8.0067
0.0000 -2.8847 8.0067
Dy Ho Fe Ni
1 2 3 6
Direct
0.0000 0.0000 0.0000
0.1389 0.1389 0.1389
0.8611 0.8611 0.8611
0.3333 0.3333 0.3333
0.5000 0.5000 0.5000
0.6667 0.6667 0.6667
0.0818 0.5829 0.5829
0.4171 0.4171 0.9182
0.4171 0.9182 0.4171
0.5829 0.0818 0.5829
0.5829 0.5829 0.0818
0.9182 0.4171 0.4171
```

=====

# 7
Computed X-ray powder pattern of Dy2HoFe3Ni6 for Cu Kα, from a structure optimized by DFT (PBE).
No peak broadening, texture or thermal motion is included.

Peak list (12 most intense, 5° ≤ 2θ ≤ 70°, by intensity)
two_theta	I_rel
42.60	100
35.93	58
33.25	57
41.90	47
36.33	46
69.17	22
62.88	19
64.84	17
45.96	16
69.56	14
46.46	14
20.85	14

```
Dy2HoFe3Ni6
1.0
2.4997 1.4432 8.0322
-2.4997 1.4432 8.0322
0.0000 -2.8864 8.0322
Dy Ho Fe Ni
2 1 3 6
Direct
0.1387 0.1387 0.1387
0.8613 0.8613 0.8613
0.0000 0.0000 0.0000
0.3333 0.3333 0.3333
0.5000 0.5000 0.5000
0.6667 0.6667 0.6667
0.0822 0.5821 0.5821
0.4179 0.4179 0.9178
0.4179 0.9178 0.4179
0.5821 0.0822 0.5821
0.5821 0.5821 0.0822
0.9178 0.4179 0.4179
```

=====

# 8
Computed X-ray powder pattern of Dy4InFe2Sn4 for Cu Kα, from a structure optimized by DFT (PBE).
No peak broadening, texture or thermal motion is included.

Peak list (12 most intense, 5° ≤ 2θ ≤ 70°, by intensity)
two_theta	I_rel
32.65	100
31.66	74
39.44	53
34.15	51
38.41	32
33.83	30
35.61	25
56.23	21
34.52	20
60.39	17
52.92	17
67.27	17

```
Dy4InFe2Sn4
1.0
7.9578 -2.2844 0.0000
7.9578 2.2844 0.0000
-2.3161 0.0000 7.0266
Dy In Fe Sn
4 1 2 4
Direct
0.0945 0.0945 0.3994
0.1532 0.1532 0.9565
0.8468 0.8468 0.0435
0.9055 0.9055 0.6006
0.5000 0.5000 0.0000
0.2738 0.2738 0.3690
0.7262 0.7262 0.6310
0.2963 0.2963 0.7326
0.4269 0.4269 0.3274
0.5731 0.5731 0.6726
0.7037 0.7037 0.2674
```

=====

# 9
Computed X-ray powder pattern of TbDy2In3Fe3 for Cu Kα, from a structure optimized by DFT (PBE).
No peak broadening, texture or thermal motion is included.

Peak list (12 most intense, 5° ≤ 2θ ≤ 70°, by intensity)
two_theta	I_rel
33.31	100
36.15	67
36.70	33
46.99	19
36.57	17
67.52	15
41.73	15
61.01	15
23.76	9
56.31	8
67.28	8
56.41	8

```
TbDy2In3Fe3
1.0
3.8673 0.0000 0.0000
0.0000 6.4697 3.7540
0.0000 -6.4697 3.7540
Tb Dy In Fe
1 2 3 3
Direct
0.0000 0.0000 0.0000
0.0000 0.4117 0.8203
0.0000 0.8203 0.4117
0.5000 0.1534 0.4110
0.5000 0.4110 0.1534
0.5000 0.6676 0.6676
0.0000 0.4114 0.4114
0.5000 0.0783 0.7439
0.5000 0.7439 0.0783
```

=====

# 10
Computed X-ray powder pattern of TbDy2FeSn3Ir2 for Cu Kα, from a structure optimized by DFT (PBE).
No peak broadening, texture or thermal motion is included.

Peak list (12 most intense, 5° ≤ 2θ ≤ 70°, by intensity)
two_theta	I_rel
33.52	100
36.26	72
36.04	48
41.07	39
66.66	27
61.86	21
48.47	20
43.59	20
65.36	20
13.43	14
49.87	13
55.93	12

```
TbDy2FeSn3Ir2
1.0
3.7563 0.0000 0.0000
0.0000 6.5963 3.8044
0.0000 -6.5963 3.8044
Tb Dy Fe Sn Ir
1 2 1 3 2
Direct
0.0000 0.0000 0.0000
0.0000 0.1844 0.5921
0.0000 0.5921 0.1844
0.0000 0.5918 0.5918
0.5000 0.3349 0.3349
0.5000 0.5917 0.8496
0.5000 0.8496 0.5917
0.5000 0.2595 0.9252
0.5000 0.9252 0.2595
```

=====

# 11
Computed X-ray powder pattern of LiDyFeS3 for Cu Kα, from a structure optimized by DFT (PBE).
No peak broadening, texture or thermal motion is included.

Peak list (12 most intense, 5° ≤ 2θ ≤ 70°, by intensity)
two_theta	I_rel
13.66	100
29.81	30
32.61	27
35.80	24
25.98	22
28.63	19
49.04	14
45.75	12
51.16	10
36.43	10
16.00	9
48.24	9

```
LiDyFeS3
1.0
12.9611 0.0000 0.0000
0.0000 3.7731 0.0000
0.0000 0.0000 10.6684
Li Dy Fe S
4 4 4 12
Direct
0.2218 0.2500 0.1748
0.2782 0.7500 0.6748
0.7218 0.2500 0.3252
0.7782 0.7500 0.8252
0.0338 0.7500 0.8447
0.4662 0.2500 0.3447
0.5338 0.7500 0.6553
0.9662 0.2500 0.1553
0.0200 0.2500 0.5822
0.4800 0.7500 0.0822
0.5200 0.2500 0.9178
0.9800 0.7500 0.4178
0.0833 0.2500 0.3791
0.1048 0.7500 0.0810
0.1511 0.2500 0.7303
0.3489 0.7500 0.2303
0.3952 0.2500 0.5810
0.4167 0.7500 0.8791
0.5833 0.2500 0.1209
0.6048 0.7500 0.4190
0.6511 0.2500 0.7697
0.8489 0.7500 0.2697
0.8952 0.2500 0.9190
0.9167 0.7500 0.6209
```

=====

# 12
Computed X-ray powder pattern of DyLuFe2Si2 for Cu Kα, from a structure optimized by DFT (PBE).
No peak broadening, texture or thermal motion is included.

Peak list (12 most intense, 5° ≤ 2θ ≤ 70°, by intensity)
two_theta	I_rel
26.22	100
42.64	79
35.99	57
45.13	47
34.57	41
31.49	37
52.94	30
59.02	27
62.77	21
63.78	18
65.73	15
53.94	10

```
DyLuFe2Si2
1.0
4.0181 0.0000 0.0000
0.0000 4.0181 0.0000
0.0000 0.0000 6.3687
Dy Lu Fe Si
1 1 2 2
Direct
0.0000 0.0000 0.0000
0.5000 0.5000 0.3688
0.0000 0.5000 0.6764
0.5000 0.0000 0.6764
0.0000 0.0000 0.4939
0.5000 0.5000 0.8614
```

=====

# 13
Computed X-ray powder pattern of Dy3Lu4Fe2Te2 for Cu Kα, from a structure optimized by DFT (PBE).
No peak broadening, texture or thermal motion is included.

Peak list (12 most intense, 5° ≤ 2θ ≤ 70°, by intensity)
two_theta	I_rel
34.33	100
33.77	86
34.99	59
30.81	55
59.52	34
47.47	33
34.78	31
37.35	29
29.03	26
30.44	23
39.19	19
51.63	19

```
Dy3Lu4Fe2Te2
1.0
-1.9153 7.7392 4.6432
1.9153 -7.7392 4.6432
1.9153 7.7392 -4.6432
Dy Lu Fe Te
3 4 2 2
Direct
0.0000 0.0000 0.0000
0.2826 0.4193 0.8633
0.5559 0.4193 0.1367
0.3149 0.6274 0.6875
0.6187 0.2698 0.3489
0.9209 0.2698 0.6511
0.9399 0.6274 0.3125
0.1667 0.9328 0.2339
0.6990 0.9328 0.7661
0.2655 0.7655 0.5000
0.6668 0.6668 0.0000
```